This entry pairs a crystal structure of SrU2As2O20 with its theoretical X-ray powder pattern. Radiation: λ = 1.5418 Å (Cu Kα). Structure: a structure optimized by DFT (PBE).
Neutral-atom scattering factors, no anomalous dispersion.

Main lines, low angle first (10 to 90 degrees two-theta):
two_theta, d/Å, I (rel.)
11.02, 8.032, 100
13.53, 6.546, 50
17.40, 5.096, 46
18.68, 4.750, 42
20.71, 4.290, 62
24.03, 3.703, 37
24.84, 3.584, 74
25.72, 3.463, 56
30.49, 2.932, 52
36.06, 2.491, 37

Cell and atoms:
```
SrU2As2O20
1.0
7.3092 0.0000 0.0000
0.0000 7.1683 0.0000
-1.8978 0.0000 16.0639
Sr U As O
2 4 4 40
Cartesian
-0.4745 1.5264 4.0160
-1.4234 5.6419 12.0479
1.8899 1.7994 1.0006
0.9410 5.3689 9.0326
4.4704 1.7994 7.0313
3.5215 5.3689 15.0633
0.8134 1.7593 7.9264
-0.1355 5.4090 15.9584
5.5469 1.7593 0.1055
4.5980 5.4090 8.1375
-0.5155 1.8919 6.8269
-1.4645 5.2763 14.8588
-0.9557 1.8388 12.8328
-0.0068 5.3295 4.8008
-0.8559 3.0572 12.9725
0.0930 4.1111 4.9406
0.6146 0.4171 8.9750
1.5635 6.7512 0.9431
0.0822 1.7789 15.2594
1.0311 5.3894 7.2275
0.9508 3.1219 8.9573
1.8997 4.0464 0.9254
1.7233 1.8291 2.8594
0.7744 5.3392 10.8913
1.7673 0.3299 4.8409
0.8184 6.8384 12.8729
2.2051 1.5990 6.9192
1.2562 5.5693 14.9511
1.7415 1.9231 12.4065
2.6905 5.2452 4.3746
2.7209 1.9231 11.6894
3.6698 5.2452 3.6574
4.1552 1.5990 1.1128
3.2063 5.5693 9.1447
4.5930 0.3299 3.1910
3.6441 6.8384 11.2230
4.6370 1.8291 5.1726
3.6881 5.3392 13.2045
3.5117 3.1219 15.1385
4.4606 4.0464 7.1066
4.3803 1.7789 8.8364
5.3292 5.3894 0.8045
3.8479 0.4171 15.1208
4.7968 6.7512 7.0889
5.3184 3.0572 11.1233
6.2673 4.1111 3.0914
5.4182 1.8388 11.2631
6.3671 5.3295 3.2311
6.8758 1.8919 1.2051
5.9269 5.2763 9.2370
```

This entry pairs a crystal structure of BiSeI with its theoretical X-ray powder pattern. Radiation: λ = 1.5418 Å (Cu Kα). Structure: a structure optimized by DFT (PBE).
Neutral-atom scattering factors, no anomalous dispersion.

Main lines, low angle first (10 to 90 degrees two-theta):
two_theta, d/Å, I (rel.)
12.55, 7.052, 40
18.55, 4.784, 23
27.99, 3.187, 100
28.75, 3.105, 20
30.72, 2.910, 21
31.71, 2.822, 35
33.73, 2.657, 22
42.29, 2.137, 20
43.35, 2.087, 26
46.15, 1.967, 21

Cell and atoms:
```
BiSeI
1.0
9.0371 0.0000 0.0000
0.0000 4.2740 0.0000
0.0000 0.0000 11.2775
Bi Se I
4 4 4
Cartesian
1.0008 1.0685 1.4447
3.5177 3.2055 7.0834
5.5194 1.0685 4.1941
8.0363 3.2055 9.8328
1.5507 3.2055 10.8408
2.9678 1.0685 5.2020
6.0693 3.2055 6.0755
7.4864 1.0685 0.4367
0.2163 1.0685 7.7166
4.3022 3.2055 2.0779
4.7349 1.0685 9.1996
8.8208 3.2055 3.5609
```

This entry pairs a crystal structure of Al9Co2Ni with its theoretical X-ray powder pattern. Radiation: λ = 1.5418 Å (Cu Kα). Structure: a structure optimized by DFT (PBE).
Neutral-atom scattering factors, no anomalous dispersion.

Main lines, low angle first (10 to 90 degrees two-theta):
two_theta, d/Å, I (rel.)
20.92, 4.247, 20
23.06, 3.856, 15
25.16, 3.540, 14
26.33, 3.385, 22
28.22, 3.162, 17
42.76, 2.115, 16
44.15, 2.051, 100
45.23, 2.005, 25
46.63, 1.948, 11
47.08, 1.930, 16

Cell and atoms:
```
Al9Co2Ni
1.0
-3.7676 6.0148 7.7122
3.7676 -6.0148 7.7122
3.7676 6.0148 -7.7122
Al Co Ni
36 8 4
Cartesian
0.0000 0.0000 0.0000
1.5081 1.8620 -1.3782
6.0271 1.8620 -1.3782
2.3551 -1.7553 3.9258
5.1801 -1.7553 3.9258
3.7676 0.0000 2.0949
3.7676 2.0232 0.0000
3.7676 3.9292 -1.9813
0.0000 0.0000 3.7568
1.5081 1.8620 1.3782
6.0271 1.8620 1.3782
3.7676 -1.9554 6.3751
2.3551 1.7553 3.9258
5.1801 1.7553 3.9258
1.7698 6.0148 -1.5099
1.9978 0.0000 6.2022
0.0000 4.0594 1.3371
3.7676 3.9292 1.9813
0.0000 0.0000 7.7122
0.0000 2.0856 5.7308
3.7676 1.9554 6.3751
1.7698 6.0148 1.5099
1.9978 0.0000 9.2221
-1.4125 4.2595 3.7863
1.4125 4.2595 3.7863
0.0000 7.9703 1.3371
-2.2595 4.1529 6.3339
2.2595 4.1529 6.3339
0.0000 0.0000 11.6675
0.0000 2.0856 9.6935
0.0000 3.9917 7.7122
0.0000 6.0148 5.6173
-1.4125 7.7702 3.7863
1.4125 7.7702 3.7863
-2.2595 4.1529 9.0904
2.2595 4.1529 9.0904
2.3710 0.0000 0.0000
5.1642 0.0000 0.0000
3.7676 0.0000 4.6498
2.2195 3.9841 0.0000
1.5481 -2.0307 7.7122
2.2195 8.0456 0.0000
1.5481 2.0307 7.7122
0.0000 6.0148 3.0623
3.7676 3.7467 -4.4504
0.0000 2.2682 3.2617
3.7676 3.7467 4.4504
0.0000 2.2682 12.1626
```

This entry pairs a crystal structure of LiMg14W with its theoretical X-ray powder pattern. Radiation: λ = 1.5418 Å (Cu Kα). Structure: a structure optimized by DFT (PBE).
Neutral-atom scattering factors, no anomalous dispersion.

Main lines, low angle first (10 to 90 degrees two-theta):
two_theta, d/Å, I (rel.)
16.25, 5.455, 34
18.55, 4.784, 80
24.21, 3.677, 22
29.75, 3.003, 25
31.56, 2.835, 21
32.83, 2.728, 28
36.10, 2.488, 24
37.60, 2.392, 100
65.90, 1.417, 18
70.81, 1.331, 19

Cell and atoms:
```
LiMg14W
1.0
6.2993 0.0000 0.0000
-3.1496 5.4554 0.0000
0.0000 0.0000 9.9532
Li Mg W
1 14 1
Cartesian
0.0000 0.0000 0.0000
-1.5700 2.7305 4.9766
-1.5609 2.7357 0.0000
0.0000 1.7428 2.5623
0.0000 1.7428 7.3909
-1.6403 4.5839 2.5623
-1.6403 4.5839 7.3909
1.5609 2.7357 0.0000
1.5700 2.7305 4.9766
0.0000 5.4393 0.0000
0.0000 5.4498 4.9766
3.1497 1.8184 2.4882
3.1497 1.8184 7.4651
1.6403 4.5839 2.5623
1.6403 4.5839 7.3909
0.0000 0.0000 4.9766
```

This entry pairs a crystal structure of SrAl2S4 with its theoretical X-ray powder pattern. Radiation: λ = 1.5418 Å (Cu Kα). Structure: a structure optimized by DFT (PBE).
Neutral-atom scattering factors, no anomalous dispersion.

Main lines, low angle first (10 to 90 degrees two-theta):
two_theta, d/Å, I (rel.)
16.86, 5.260, 47
23.82, 3.735, 97
29.81, 2.998, 35
30.45, 2.935, 35
31.01, 2.884, 39
33.80, 2.652, 36
38.18, 2.357, 100
38.82, 2.320, 24
45.67, 1.987, 21
58.31, 1.582, 18

Cell and atoms:
```
SrAl2S4
1.0
0.0000 10.3180 10.6117
6.1138 0.0000 10.6117
6.1138 10.3180 0.0000
Sr Al S
8 16 32
Cartesian
4.5854 7.7385 2.6252
1.5285 2.5795 2.6529
7.6423 12.8975 7.9311
4.5854 7.7385 7.9588
7.6423 12.8975 13.2647
4.5854 7.7385 13.2924
10.6992 18.0565 18.5705
7.6423 12.8975 18.5982
8.1407 9.2288 5.3038
4.6262 4.8888 5.2976
8.1407 6.2482 10.6138
11.1976 11.4072 10.6096
7.6015 10.0478 10.6034
4.5445 4.8888 10.6200
4.5445 10.5882 5.2976
1.0301 6.2482 5.3038
11.1976 14.3878 15.9197
7.6832 10.0478 15.9259
7.6832 15.7471 10.6034
4.6262 10.5882 10.6200
1.0301 9.2288 10.6138
4.0870 14.3878 10.6096
7.6015 15.7471 15.9259
4.0870 11.4072 15.9197
3.0648 5.1590 1.7188
6.1036 5.1525 7.0170
6.1059 10.3180 1.7188
9.1628 10.3179 7.0247
3.1690 3.1754 5.2907
9.0587 8.3344 10.5966
6.0018 3.1754 10.6269
5.9359 8.7763 5.2913
3.2349 6.7007 5.2913
8.9928 11.8597 10.5971
5.9359 6.7007 10.6263
6.0018 12.3016 5.2907
3.0671 5.1525 8.9005
6.1059 5.1590 14.1987
9.1606 10.3115 14.2064
6.1036 10.3245 8.9005
6.1240 10.3115 12.3229
3.0671 10.3245 7.0170
6.1218 15.4770 7.0247
9.1606 15.4835 12.3229
6.2259 8.3344 15.9328
6.2918 13.9353 10.5971
3.2349 8.7763 10.6263
8.9928 13.9353 15.9322
6.2918 11.8597 15.9322
6.2259 17.4606 10.5966
3.1690 12.3016 10.6269
9.0587 17.4606 15.9328
3.0648 10.3180 14.1987
6.1218 10.3179 19.5046
6.1240 15.4835 14.2064
9.1628 15.4770 19.5046
```

This entry pairs a crystal structure of K2Na4Ca5Si12O34 with its theoretical X-ray powder pattern. Radiation: λ = 1.5418 Å (Cu Kα). Structure: a structure optimized by DFT (PBE).
Neutral-atom scattering factors, no anomalous dispersion.

Main lines, low angle first (10 to 90 degrees two-theta):
two_theta, d/Å, I (rel.)
15.03, 5.893, 45
18.46, 4.807, 29
20.86, 4.258, 22
21.11, 4.208, 31
25.92, 3.437, 25
28.33, 3.150, 100
29.95, 2.983, 32
30.28, 2.952, 34
33.13, 2.704, 38
48.87, 1.864, 31

Cell and atoms:
```
K2Na4Ca5Si12O34
1.0
9.6155 -3.7272 0.0000
9.6155 3.7272 0.0000
-4.9828 0.0000 11.7859
K Na Ca Si O
2 4 5 12 34
Cartesian
0.0000 0.0000 0.0000
8.1651 0.0000 11.7613
1.6212 0.0000 11.5591
4.0906 0.0000 5.8527
8.8068 0.0000 5.7770
13.6810 0.0000 5.8756
-0.6433 0.0000 5.9677
6.3806 1.8591 7.7118
11.3982 1.8446 4.0366
6.3806 -1.8591 7.7118
11.3982 -1.8446 4.0366
4.9777 2.1716 2.9275
3.1771 2.1729 8.8475
-1.6091 0.0000 10.2176
8.0985 2.1870 2.9089
3.3495 0.0000 1.5330
4.8036 0.0000 10.2420
9.6532 1.5801 8.8175
9.7518 0.0000 1.5484
4.9777 -2.1716 2.9275
3.1771 -2.1729 8.8475
8.0985 -2.1870 2.9089
9.6532 -1.5801 8.8175
-0.6035 1.3260 10.1351
4.1020 1.9618 4.2413
1.6080 1.6779 8.7484
-2.8362 0.0000 9.1875
4.3424 1.3295 1.6175
4.0526 1.9680 7.5351
-2.2044 0.0000 11.7591
2.0986 0.0000 2.5390
6.5456 1.6824 3.0507
1.6577 0.0000 5.4277
3.7967 1.3200 10.1607
8.9729 2.0459 4.2455
8.7537 1.3224 1.6333
-0.6035 -1.3260 10.1351
8.8141 1.8940 7.4933
4.3424 -1.3295 1.6175
6.4346 0.0000 6.3553
1.6080 -1.6779 8.7484
6.0410 0.0000 9.2232
10.3611 0.0000 0.0081
4.1020 -1.9618 4.2413
3.7967 -1.3200 10.1607
10.9662 0.0000 2.5889
6.5456 -1.6824 3.0507
4.0526 -1.9680 7.5351
8.7537 -1.3224 1.6333
11.1490 0.0000 5.4245
9.5896 0.0000 9.2974
14.5973 0.0000 2.3468
8.9729 -2.0459 4.2455
12.7769 0.0000 9.4340
8.8141 -1.8940 7.4933
17.7030 0.0000 2.3000
16.2399 0.0000 6.3312
```

This entry pairs a crystal structure of SmH2ClO2 with its theoretical X-ray powder pattern. Radiation: λ = 1.5418 Å (Cu Kα). Structure: a structure optimized by DFT (PBE).
Neutral-atom scattering factors, no anomalous dispersion.

Main lines, low angle first (10 to 90 degrees two-theta):
two_theta, d/Å, I (rel.)
13.83, 6.405, 99
19.72, 4.503, 100
27.42, 3.253, 87
30.86, 2.898, 81
31.30, 2.858, 47
31.53, 2.838, 39
36.75, 2.445, 60
39.69, 2.271, 50
46.96, 1.935, 46
49.45, 1.843, 31

Cell and atoms:
```
SmH2ClO2
1.0
12.8103 0.0000 0.0000
0.0000 3.7864 0.0000
0.0000 0.0000 6.3307
Sm H Cl O
4 8 4 8
Cartesian
0.7849 0.9466 1.5729
5.6203 2.8398 4.7382
7.1901 0.9466 1.5925
12.0254 2.8398 4.7578
1.4381 0.9466 4.3891
1.9259 2.8398 5.9588
4.4793 0.9466 2.7934
4.9671 2.8398 1.2238
7.8433 0.9466 5.1069
8.3310 2.8398 3.5373
10.8845 0.9466 0.3719
11.3722 2.8398 1.9416
2.8068 2.8398 2.6017
3.5984 0.9466 5.7670
9.2120 2.8398 0.5636
10.0035 0.9466 3.7290
0.5450 0.9466 3.9984
1.0261 2.8398 0.0117
5.3791 0.9466 3.1770
5.8602 2.8398 0.8330
6.9502 0.9466 5.4976
7.4313 2.8398 3.1537
11.7842 0.9466 6.3190
12.2653 2.8398 2.3323
```

This entry pairs a crystal structure of UH2Cl2O3 with its theoretical X-ray powder pattern. Radiation: λ = 1.5418 Å (Cu Kα). Structure: a structure optimized by DFT (PBE).
Neutral-atom scattering factors, no anomalous dispersion.

Main lines, low angle first (10 to 90 degrees two-theta):
two_theta, d/Å, I (rel.)
14.28, 6.203, 67
15.17, 5.839, 65
17.57, 5.049, 23
18.35, 4.835, 100
20.44, 4.345, 35
25.02, 3.559, 30
25.36, 3.512, 31
25.55, 3.486, 23
27.61, 3.231, 18
37.23, 2.415, 46

Cell and atoms:
```
UH2Cl2O3
1.0
5.9944 0.0000 0.0000
0.0000 8.6905 0.0000
-1.4402 0.0000 6.2025
U H Cl O
2 4 4 6
Cartesian
0.3636 2.1726 0.5217
4.1906 6.5179 5.6808
2.0219 1.3947 3.1106
2.0219 2.9505 3.1106
2.5323 5.7400 3.0920
2.5323 7.2958 3.0920
0.8005 4.8078 1.3717
0.8005 8.2280 1.3717
3.7537 0.4626 4.8309
3.7537 3.8827 4.8309
-0.2871 6.5179 4.7411
0.4512 2.1726 5.8053
1.6442 2.1726 2.6587
2.9100 6.5179 3.5439
4.1030 6.5179 0.3973
4.8413 2.1726 1.4615
```